Record 1
This entry pairs a crystal structure of ErScMoO6 with its computed XRD peak list. Radiation: a wavelength of 1.5418 Å. Structure: the GGA+U geometry in Alexandria.

Structure:
Cell lengths 5.377, 5.377, 4.557 Å; angles 90.00, 90.00, 120.00 degrees
Atoms (fractional coordinates):
Er  0.000  0.000  0.000
Sc  0.667  0.333  0.500
Mo  0.333  0.667  0.000
O  0.023  0.372  0.238
O  0.023  0.651  0.762
O  0.349  0.372  0.762
O  0.349  0.977  0.238
O  0.628  0.651  0.238
O  0.628  0.977  0.762

Top 10 peaks for 10° ≤ 2θ ≤ 90°, low angle first:
- (1 0 0), d = 4.657 Å, rel. 33
- (0 0 1), d = 4.557 Å, rel. 56
- (1 0 1), d = 3.257 Å, rel. 100
- (1 1 0), d = 2.689 Å, rel. 58
- (2 -1 1), d = 2.316 Å, rel. 60
- (2 0 1), d = 2.073 Å, rel. 28
- (2 -1 2), d = 1.738 Å, rel. 56
- (2 1 1), d = 1.642 Å, rel. 27
- (3 0 0), d = 1.552 Å, rel. 23
- (3 0 1), d = 1.469 Å, rel. 14


Record 2
This entry pairs a crystal structure of TbErMoO6 with its computed XRD peak list. Radiation: a wavelength of 1.5418 Å. Structure: the GGA+U geometry in Alexandria.

Structure:
Cell lengths 5.499, 5.499, 4.738 Å; angles 90.00, 90.00, 120.00 degrees
Atoms (fractional coordinates):
Tb  0.000  0.000  0.000
Er  0.667  0.333  0.500
Mo  0.333  0.667  0.000
O  0.033  0.376  0.230
O  0.033  0.657  0.770
O  0.343  0.376  0.770
O  0.343  0.967  0.230
O  0.624  0.657  0.230
O  0.624  0.967  0.770

Top 10 peaks for 10° ≤ 2θ ≤ 90°, low angle first:
- (1 0 1), d = 3.359 Å, rel. 100
- (1 1 0), d = 2.750 Å, rel. 46
- (2 0 1), d = 2.128 Å, rel. 28
- (2 -1 2), d = 1.795 Å, rel. 40
- (3 -1 1), d = 1.683 Å, rel. 27
- (3 0 0), d = 1.587 Å, rel. 15
- (1 0 3), d = 1.499 Å, rel. 9
- (3 0 2), d = 1.319 Å, rel. 9
- (4 -1 1), d = 1.272 Å, rel. 11
- (2 2 2), d = 1.189 Å, rel. 10


Question: What is the formula in the first record?
Answer: ErScMoO6


Question: What is the formula in the second record?
Answer: TbErMoO6


Copy entry 1 word for word.
This entry pairs a crystal structure of ErScMoO6 with its computed XRD peak list. Radiation: a wavelength of 1.5418 Å. Structure: the GGA+U geometry in Alexandria.

Structure:
Cell lengths 5.377, 5.377, 4.557 Å; angles 90.00, 90.00, 120.00 degrees
Atoms (fractional coordinates):
Er  0.000  0.000  0.000
Sc  0.667  0.333  0.500
Mo  0.333  0.667  0.000
O  0.023  0.372  0.238
O  0.023  0.651  0.762
O  0.349  0.372  0.762
O  0.349  0.977  0.238
O  0.628  0.651  0.238
O  0.628  0.977  0.762

Top 10 peaks for 10° ≤ 2θ ≤ 90°, low angle first:
- (1 0 0), d = 4.657 Å, rel. 33
- (0 0 1), d = 4.557 Å, rel. 56
- (1 0 1), d = 3.257 Å, rel. 100
- (1 1 0), d = 2.689 Å, rel. 58
- (2 -1 1), d = 2.316 Å, rel. 60
- (2 0 1), d = 2.073 Å, rel. 28
- (2 -1 2), d = 1.738 Å, rel. 56
- (2 1 1), d = 1.642 Å, rel. 27
- (3 0 0), d = 1.552 Å, rel. 23
- (3 0 1), d = 1.469 Å, rel. 14